Simulated powder XRD pattern
Compound: ZrSeO
Radiation: copper Kα
Structure: a cell relaxed with PBE
Kinematic intensities with the Lorentz-polarization factor, no thermal factor.

Peak list (10 most intense, 10 to 90 degrees two-theta, by angle)
d (Å), intensity
3.404, 55
2.637, 100
2.407, 89
1.965, 23
1.864, 30
1.576, 47
1.430, 24
1.204, 16
1.156, 21
1.095, 15

Atomic structure:
Cell lengths 5.8960, 5.8960, 5.8960 Å; angles 90.00, 90.00, 90.00 degrees
Element x y z (fractional)
Zr 0.0778 0.0778 0.0778
Zr 0.4222 0.9222 0.5778
Zr 0.5778 0.4222 0.9222
Zr 0.9222 0.5778 0.4222
Se 0.1587 0.6587 0.8413
Se 0.3413 0.3413 0.3413
Se 0.6587 0.8413 0.1587
Se 0.8413 0.1587 0.6587
O 0.1506 0.8494 0.3494
O 0.3494 0.1506 0.8494
O 0.6506 0.6506 0.6506
O 0.8494 0.3494 0.1506

Simulated powder XRD pattern
Compound: Si23O3
Radiation: copper Kα
Structure: a cell relaxed with PBE
Kinematic intensities with the Lorentz-polarization factor, no thermal factor.

Peak list (10 most intense, 10 to 90 degrees two-theta, by angle)
d (Å), intensity
4.538, 41
4.143, 44
2.929, 49
2.814, 39
2.712, 100
2.461, 32
1.740, 87
1.715, 27
1.691, 24
1.646, 46

Atomic structure:
Cell lengths 10.1470, 10.1470, 10.1470 Å; angles 90.00, 90.00, 90.00 degrees
Element x y z (fractional)
Si 0.0000 0.1157 0.3108
Si 0.0000 0.1157 0.6892
Si 0.0000 0.2500 0.5000
Si 0.0000 0.7500 0.5000
Si 0.0000 0.8843 0.3108
Si 0.0000 0.8843 0.6892
Si 0.1157 0.3108 0.0000
Si 0.1157 0.6892 0.0000
Si 0.1831 0.1831 0.1831
Si 0.1831 0.1831 0.8169
Si 0.1831 0.8169 0.1831
Si 0.1831 0.8169 0.8169
Si 0.1892 0.3843 0.5000
Si 0.1892 0.6157 0.5000
Si 0.2500 0.5000 0.0000
Si 0.3108 0.0000 0.1157
Si 0.3108 0.0000 0.8843
Si 0.3169 0.3169 0.3169
Si 0.3169 0.3169 0.6831
Si 0.3169 0.6831 0.3169
Si 0.3169 0.6831 0.6831
Si 0.3843 0.5000 0.1892
Si 0.3843 0.5000 0.8108
Si 0.5000 0.0000 0.2500
Si 0.5000 0.0000 0.7500
Si 0.5000 0.1892 0.3843
Si 0.5000 0.1892 0.6157
Si 0.5000 0.8108 0.3843
Si 0.5000 0.8108 0.6157
Si 0.6157 0.5000 0.1892
Si 0.6157 0.5000 0.8108
Si 0.6831 0.3169 0.3169
Si 0.6831 0.3169 0.6831
Si 0.6831 0.6831 0.3169
Si 0.6831 0.6831 0.6831
Si 0.6892 0.0000 0.1157
Si 0.6892 0.0000 0.8843
Si 0.7500 0.5000 0.0000
Si 0.8108 0.3843 0.5000
Si 0.8108 0.6157 0.5000
Si 0.8169 0.1831 0.1831
Si 0.8169 0.1831 0.8169
Si 0.8169 0.8169 0.1831
Si 0.8169 0.8169 0.8169
Si 0.8843 0.3108 0.0000
Si 0.8843 0.6892 0.0000
O 0.0000 0.5000 0.2500
O 0.0000 0.5000 0.7500
O 0.2500 0.0000 0.5000
O 0.5000 0.2500 0.0000
O 0.5000 0.7500 0.0000
O 0.7500 0.0000 0.5000

Simulated powder XRD pattern
Compound: SiO3
Radiation: copper Kα
Structure: a cell relaxed with PBE
Kinematic intensities with the Lorentz-polarization factor, no thermal factor.

Peak list (10 most intense, 10 to 90 degrees two-theta, by angle)
d (Å), intensity
4.473, 100
3.528, 66
2.355, 15
1.934, 12
1.919, 11
1.915, 28
1.538, 33
1.510, 16
1.362, 6
1.176, 5

Atomic structure:
Cell lengths 2.5414, 8.9455, 3.8390 Å; angles 90.00, 90.00, 90.00 degrees
Element x y z (fractional)
Si 0.0000 0.0000 0.0000
Si 0.5000 0.5000 0.5000
O 0.0000 0.3715 0.6256
O 0.0000 0.5000 0.1453
O 0.0000 0.6285 0.6256
O 0.5000 0.0000 0.6453
O 0.5000 0.1285 0.1256
O 0.5000 0.8715 0.1256

Simulated powder XRD pattern
Compound: SiO4
Radiation: copper Kα
Structure: a cell relaxed with PBE
Kinematic intensities with the Lorentz-polarization factor, no thermal factor.

Peak list (10 most intense, 10 to 90 degrees two-theta, by angle)
d (Å), intensity
5.391, 34
4.452, 71
4.231, 100
4.177, 47
3.595, 73
3.512, 44
3.200, 29
2.575, 45
2.545, 16
2.221, 15

Atomic structure:
Cell lengths 5.0930, 5.1656, 10.9176 Å; angles 81.38, 88.21, 60.78 degrees
Element x y z (fractional)
Si 0.0000 0.0000 0.0000
Si 0.1217 0.1802 0.7253
Si 0.7731 0.8850 0.6283
O 0.0283 0.9692 0.6627
O 0.0964 0.1340 0.8754
O 0.1139 0.1036 0.2182
O 0.2422 0.9910 0.1202
O 0.4447 0.3657 0.3147
O 0.4683 0.0901 0.6971
O 0.4855 0.3129 0.4278
O 0.5140 0.5368 0.9627
O 0.6830 0.3220 0.0504
O 0.7070 0.9385 0.4761
O 0.8965 0.5294 0.6711
O 0.9318 0.7356 0.0196

Simulated powder XRD pattern
Compound: SmZrSi2O8
Radiation: copper Kα
Structure: a cell relaxed with PBE
Kinematic intensities with the Lorentz-polarization factor, no thermal factor.

Peak list (10 most intense, 10 to 90 degrees two-theta, by angle)
d (Å), intensity
4.603, 59
3.466, 100
2.769, 21
2.607, 62
2.451, 17
2.163, 23
1.835, 20
1.786, 55
1.733, 15
1.443, 17

Atomic structure:
Cell lengths 5.7882, 5.7882, 5.7882 Å; angles 106.42, 106.42, 115.75 degrees
Element x y z (fractional)
Sm 0.0000 0.0000 0.0000
Zr 0.7500 0.2500 0.5000
Si 0.2500 0.7500 0.5000
Si 0.5000 0.5000 0.0000
O 0.0694 0.3964 0.3269
O 0.0694 0.7426 0.6731
O 0.1474 0.3362 0.8112
O 0.2574 0.9306 0.3269
O 0.5250 0.3362 0.1888
O 0.6036 0.9306 0.6731
O 0.6638 0.4750 0.8112
O 0.6638 0.8526 0.1888

Simulated powder XRD pattern
Compound: SiSnO4
Radiation: copper Kα
Structure: a cell relaxed with PBE
Kinematic intensities with the Lorentz-polarization factor, no thermal factor.

Peak list (10 most intense, 10 to 90 degrees two-theta, by angle)
d (Å), intensity
4.696, 100
4.094, 21
3.321, 20
3.121, 69
2.599, 76
2.100, 22
1.908, 17
1.876, 34
1.561, 23
1.399, 20

Atomic structure:
Cell lengths 4.6964, 4.6964, 8.3535 Å; angles 90.00, 90.00, 90.00 degrees
Element x y z (fractional)
Si 0.0000 0.5000 0.2500
Si 0.5000 0.0000 0.7500
Sn 0.0000 0.0000 0.0000
Sn 0.0000 0.0000 0.5000
O 0.1925 0.2895 0.3657
O 0.1925 0.7105 0.1343
O 0.2895 0.1925 0.8657
O 0.2895 0.8075 0.6343
O 0.7105 0.1925 0.6343
O 0.7105 0.8075 0.8657
O 0.8075 0.2895 0.1343
O 0.8075 0.7105 0.3657